Starting from the PBE+U geometry in Alexandria, the powder XRD pattern of V2SiO5 was simulated for Cu Kα, 1.54184 Å.
Peak positions follow from Bragg's law for the DFT cell and can differ from measured ones.

Structural model:
Cell lengths 7.718, 7.764, 12.571 Å; angles 90.00, 90.00, 90.00 degrees
Space group Fddd (No. 70, origin choice 2)
Asymmetric unit:
V (0.000, 0.000, 0.000) x16
Si (0.125, 0.125, 0.625) x8
O (0.003, 0.002, 0.306) x32
O (0.125, 0.125, 0.125) x8

Top 8 peaks for 10° ≤ 2θ ≤ 90°, in order of rising 2θ:
| 2θ (°) | d/Å | I (rel.) | index |
| --- | --- | --- | --- |
| 17.7 | 5.018 | 33 | 1 1 1 |
| 26.8 | 3.327 | 100 | 1 1 3 |
| 35.8 | 2.509 | 14 | 2 2 2 |
| 42.7 | 2.117 | 15 | 1 3 3 |
| 42.9 | 2.110 | 15 | 3 1 3 |
| 55.2 | 1.664 | 27 | 2 2 6 |
| 55.7 | 1.651 | 16 | 0 4 4 |
| 55.9 | 1.644 | 16 | 4 0 4 |